Entry 1:
Theoretical powder diffractogram of MgSc2Cd for Cu Kα (λ = 1.5418 Å), from a DFT-relaxed cell (PBE, Alexandria).
Neutral-atom scattering factors, no anomalous dispersion.

Atomic structure:
```
data_MgSc2Cd
_chemical_formula_sum 'Mg1 Sc2 Cd1'
_cell_length_a 5.5938
_cell_length_b 5.5938
_cell_length_c 5.5938
_cell_angle_alpha 133.34
_cell_angle_beta 133.34
_cell_angle_gamma 68.12
_space_group_name_H-M_alt 'P 1'
_space_group_IT_number 1
loop_
_space_group_symop_operation_xyz
'x,y,z'
loop_
_atom_site_label
_atom_site_fract_x
_atom_site_fract_y
_atom_site_fract_z
_atom_site_occupancy
Mg1 0.0000 0.0000 0.0000 1
Sc1 0.2500 0.7500 0.5000 1
Sc2 0.5000 0.5000 0.0000 1
Cd1 0.7500 0.2500 0.5000 1
```

Top 6 peaks for 15° ≤ 2θ ≤ 90°, by intensity:
Position (°2θ)  Rel. int.
34.6  100
40.7  31
22.2  30
70.2  22
57.6  21
38.9  18

---

Entry 2:
Theoretical powder diffractogram of Dy3ScAs4 for Cu Kα (λ = 1.5418 Å), from a DFT-relaxed cell (PBE, Alexandria).
Neutral-atom scattering factors, no anomalous dispersion.

Atomic structure:
```
data_Dy3ScAs4
_chemical_formula_sum 'Dy3 Sc1 As4'
_cell_length_a 5.7496
_cell_length_b 5.7496
_cell_length_c 5.7496
_cell_angle_alpha 90.00
_cell_angle_beta 90.00
_cell_angle_gamma 90.00
_space_group_name_H-M_alt 'P 1'
_space_group_IT_number 1
loop_
_space_group_symop_operation_xyz
'x,y,z'
loop_
_atom_site_label
_atom_site_fract_x
_atom_site_fract_y
_atom_site_fract_z
_atom_site_occupancy
Dy1 0.0000 0.0000 0.5000 1
Dy2 0.0000 0.5000 0.0000 1
Dy3 0.5000 0.0000 0.0000 1
Sc1 0.5000 0.5000 0.5000 1
As1 0.0000 0.0000 0.0000 1
As2 0.0000 0.5000 0.5000 1
As3 0.5000 0.0000 0.5000 1
As4 0.5000 0.5000 0.0000 1
```

Top 6 peaks for 15° ≤ 2θ ≤ 90°, by intensity:
Position (°2θ)  Rel. int.
31.1  100
44.6  74
73.7  33
55.4  26
82.1  25
26.9  13

---

Entry 3:
Theoretical powder diffractogram of LiNpSi2Pt2 for Cu Kα (λ = 1.5418 Å), from a DFT-relaxed cell (PBE, Alexandria).
Neutral-atom scattering factors, no anomalous dispersion.

Atomic structure:
```
data_LiNpSi2Pt2
_chemical_formula_sum 'Li1 Np1 Si2 Pt2'
_cell_length_a 4.2209
_cell_length_b 4.2209
_cell_length_c 6.5922
_cell_angle_alpha 90.00
_cell_angle_beta 90.00
_cell_angle_gamma 120.00
_space_group_name_H-M_alt 'P 1'
_space_group_IT_number 1
loop_
_space_group_symop_operation_xyz
'x,y,z'
loop_
_atom_site_label
_atom_site_fract_x
_atom_site_fract_y
_atom_site_fract_z
_atom_site_occupancy
Li1 0.0000 0.0000 0.0000 1
Np1 0.0000 0.0000 0.5000 1
Si1 0.3333 0.6667 0.8053 1
Si2 0.6667 0.3333 0.1947 1
Pt1 0.3333 0.6667 0.2020 1
Pt2 0.6667 0.3333 0.7980 1
```

Top 6 peaks for 15° ≤ 2θ ≤ 90°, by intensity:
Position (°2θ)  Rel. int.
27.9  100
36.7  62
42.9  46
60.9  24
51.9  19
57.7  17

---

Entry 4:
Theoretical powder diffractogram of Ba2Nd for Cu Kα (λ = 1.5418 Å), from a DFT-relaxed cell (PBE, Alexandria).
Neutral-atom scattering factors, no anomalous dispersion.

Atomic structure:
```
data_Ba2Nd
_chemical_formula_sum 'Ba2 Nd1'
_cell_length_a 9.4015
_cell_length_b 9.4015
_cell_length_c 9.4015
_cell_angle_alpha 154.82
_cell_angle_beta 154.82
_cell_angle_gamma 35.91
_space_group_name_H-M_alt 'P 1'
_space_group_IT_number 1
loop_
_space_group_symop_operation_xyz
'x,y,z'
loop_
_atom_site_label
_atom_site_fract_x
_atom_site_fract_y
_atom_site_fract_z
_atom_site_occupancy
Ba1 0.1545 0.1545 0.0000 1
Ba2 0.8455 0.8455 0.0000 1
Nd1 0.5000 0.5000 0.0000 1
```

Top 6 peaks for 15° ≤ 2θ ≤ 90°, by intensity:
Position (°2θ)  Rel. int.
26.4  100
30.9  35
52.2  30
43.6  23
30.0  16
44.2  13